(1)
The following is a calculated powder X-ray diffraction pattern of LaGdN2. It was derived from a DFT-relaxed cell (PBE, the Materials Project), using Cu Kα, 1.54184 Å.
Neutral-atom scattering factors, no anomalous dispersion.

Crystal structure
a b c (Å): 3.6377 3.6377 17.8913
angles (deg): 90.00 90.00 120.00
Space group R-3m (No. 166, hexagonal axes)
One atom of each set of equivalent atoms:
La 0.0000 0.0000 0.0000 [3 per cell]
Gd 0.0000 0.0000 0.5000 [3 per cell]
N 0.0000 0.0000 0.2461 [6 per cell]

Largest 10 diffraction maxima, by angle, 2θ = 10–90°:
index	2theta	d (Å)	I_rel
0 0 6	30.0	2.982	34
0 1 2	30.1	2.971	100
1 0 4	34.8	2.576	100
0 1 8	50.0	1.824	35
1 1 0	50.2	1.819	35
1 0 10	59.4	1.556	15
2 0 2	59.6	1.552	46
0 2 4	62.5	1.486	17
1 1 12	83.9	1.153	15
2 1 4	84.1	1.151	15

(2)
The following is a calculated powder X-ray diffraction pattern of LaGdN2. It was derived from a DFT-relaxed cell (PBE, the Materials Project), using Cu Kα, 1.54184 Å.
Neutral-atom scattering factors, no anomalous dispersion.

Crystal structure
a b c (Å): 3.6481 3.6481 5.1544
angles (deg): 90.00 90.00 90.00
Space group P4/mmm (No. 123)
One atom of each set of equivalent atoms:
La 0.0000 0.0000 0.0000 [1 per cell]
Gd 0.5000 0.5000 0.5000 [1 per cell]
N 0.0000 0.0000 0.5000 [1 per cell]
N 0.5000 0.5000 0.0000 [1 per cell]

Largest 8 diffraction maxima, by angle, 2θ = 10–90°:
index	2theta	d (Å)	I_rel
1 0 1	30.0	2.978	100
1 1 0	34.8	2.579	75
2 0 0	50.0	1.823	52
2 1 1	59.4	1.555	46
2 0 2	62.4	1.489	17
2 2 0	73.4	1.289	8
3 0 1	81.3	1.183	19
3 1 0	83.9	1.153	23

(3)
The following is a calculated powder X-ray diffraction pattern of LaGdTl2. It was derived from a DFT-relaxed cell (PBE, the Materials Project), using Cu Kα, 1.54184 Å.
Neutral-atom scattering factors, no anomalous dispersion.

Crystal structure
a b c (Å): 7.8567 7.8567 7.8567
angles (deg): 90.00 90.00 90.00
Space group Fm-3m (No. 225)
One atom of each set of equivalent atoms:
La 0.0000 0.0000 0.0000 [4 per cell]
Gd 0.0000 0.0000 0.5000 [4 per cell]
Tl 0.2500 0.2500 0.2500 [8 per cell]

Largest 10 diffraction maxima, by angle, 2θ = 10–90°:
index	2theta	d (Å)	I_rel
2 0 0	22.6	3.928	3
2 2 0	32.2	2.778	100
2 2 2	39.7	2.268	1
4 0 0	46.2	1.964	19
4 2 0	52.1	1.757	1
4 2 2	57.5	1.604	39
4 4 0	67.4	1.389	12
6 0 0	72.1	1.309	1
6 2 0	76.7	1.242	17
4 4 4	85.7	1.134	4

(4)
The following is a calculated powder X-ray diffraction pattern of Li3Gd. It was derived from a DFT-relaxed cell (PBE, the Materials Project), using Cu Kα, 1.54184 Å.
Neutral-atom scattering factors, no anomalous dispersion.

Crystal structure
a b c (Å): 6.4191 6.4191 5.0400
angles (deg): 90.00 90.00 120.00
Space group P6_3/mmc (No. 194)
One atom of each set of equivalent atoms:
Li 0.1496 0.2993 0.2500 [6 per cell]
Gd 0.3333 0.6667 0.7500 [2 per cell]

Largest 10 diffraction maxima, by angle, 2θ = 10–90°:
index	2theta	d (Å)	I_rel
1 0 0	15.9	5.559	39
1 0 1	23.8	3.734	100
1 1 0	27.8	3.210	45
2 0 0	32.2	2.780	10
0 0 2	35.6	2.520	10
2 0 1	36.9	2.434	41
1 1 2	45.8	1.982	23
2 1 1	46.8	1.939	32
3 0 0	49.2	1.853	9
3 1 1	63.1	1.474	14

(5)
The following is a calculated powder X-ray diffraction pattern of LiGdO2. It was derived from a DFT-relaxed cell (PBE, the Materials Project), using Cu Kα, 1.54184 Å.
Neutral-atom scattering factors, no anomalous dispersion.

Crystal structure
a b c (Å): 11.4156 3.4488 5.3657
angles (deg): 90.00 90.00 90.00
Space group Pnma (No. 62)
One atom of each set of equivalent atoms:
Li 0.0656 0.2500 0.0983 [4 per cell]
Gd 0.1405 0.7500 0.5475 [4 per cell]
O 0.0261 0.2500 0.7443 [4 per cell]
O 0.2039 0.2500 0.3067 [4 per cell]

Largest 10 diffraction maxima, by angle, 2θ = 10–90°:
index	2theta	d (Å)	I_rel
1 0 1	18.3	4.856	100
3 0 1	28.8	3.104	72
2 1 0	30.3	2.952	60
4 0 0	31.3	2.854	24
1 1 1	31.8	2.812	73
3 1 1	39.0	2.307	21
2 1 2	45.7	1.985	41
4 0 2	46.5	1.955	19
5 1 1	50.9	1.794	32
3 2 1	61.5	1.507	17

(6)
The following is a calculated powder X-ray diffraction pattern of LiGdO2. It was derived from a DFT-relaxed cell (PBE, the Materials Project), using Cu Kα, 1.54184 Å.
Neutral-atom scattering factors, no anomalous dispersion.

Crystal structure
a b c (Å): 4.5240 4.5240 10.6247
angles (deg): 90.00 90.00 90.00
Space group I4_1/amd (No. 141, origin choice 2)
One atom of each set of equivalent atoms:
Li 0.0000 0.2500 0.3750 [4 per cell]
Gd 0.0000 0.2500 0.8750 [4 per cell]
O 0.0000 0.2500 0.0977 [8 per cell]

Largest 10 diffraction maxima, by angle, 2θ = 10–90°:
index	2theta	d (Å)	I_rel
1 0 1	21.3	4.162	100
1 0 3	32.1	2.789	26
1 1 2	32.7	2.740	46
0 0 4	33.7	2.656	23
2 0 0	39.9	2.262	30
2 1 1	45.6	1.987	27
1 0 5	47.3	1.923	15
2 1 3	52.1	1.757	14
2 0 4	53.2	1.722	24
3 1 2	67.8	1.381	13

(7)
The following is a calculated powder X-ray diffraction pattern of LiGdO2. It was derived from a DFT-relaxed cell (PBE, the Materials Project), using Cu Kα, 1.54184 Å.
Neutral-atom scattering factors, no anomalous dispersion.

Crystal structure
a b c (Å): 6.3667 6.2157 6.4860
angles (deg): 90.00 120.08 90.00
Space group P2_1/c (No. 14)
One atom of each set of equivalent atoms:
Li 0.2032 0.1584 0.4294 [4 per cell]
Gd 0.2688 0.6325 0.5254 [4 per cell]
O 0.0495 0.6057 0.7370 [4 per cell]
O 0.4839 0.1781 0.1438 [4 per cell]

Largest 10 diffraction maxima, by angle, 2θ = 10–90°:
index	2theta	d (Å)	I_rel
0 1 1	21.3	4.166	94
1 1 0	21.6	4.123	100
1 1 -2	31.1	2.875	26
2 1 -1	31.6	2.833	25
0 0 2	31.9	2.806	25
2 0 -2	32.2	2.783	47
2 0 0	32.5	2.755	22
1 2 -1	33.0	2.714	51
1 2 1	40.4	2.232	49
3 1 -2	45.8	1.982	29

(8)
The following is a calculated powder X-ray diffraction pattern of LiGdS2O8. It was derived from a DFT-relaxed cell (PBE, the Materials Project), using Cu Kα, 1.54184 Å.
Neutral-atom scattering factors, no anomalous dispersion.

Crystal structure
a b c (Å): 7.6506 7.6506 5.9711
angles (deg): 90.00 90.00 90.00
Space group P-4n2 (No. 118)
One atom of each set of equivalent atoms:
Li 0.0000 0.5000 0.2500 [2 per cell]
Gd 0.0000 0.5000 0.7500 [2 per cell]
S 0.2215 0.2785 0.2500 [4 per cell]
O 0.0875 0.3172 0.0696 [8 per cell]
O 0.1001 0.7939 0.6562 [8 per cell]

Largest 10 diffraction maxima, by angle, 2θ = 10–90°:
index	2theta	d (Å)	I_rel
1 1 0	16.4	5.410	100
1 0 1	18.9	4.707	86
1 1 1	22.2	4.009	47
2 1 1	30.1	2.969	65
2 2 0	33.1	2.705	20
1 1 2	34.3	2.614	22
3 1 0	37.2	2.419	19
3 0 1	38.4	2.345	37
2 2 2	45.2	2.005	25
3 1 2	48.4	1.880	26